Na3TaF8: simulated PXRD pattern (CuKα), based on a crystal structure in OQMD, relaxed with GGA-PBE.
Intensities are scaled so that the largest is 1000.

Largest 6 diffraction maxima, sorted by position, 10° ≤ 2θ ≤ 90°:
18.34°, rel. 549, (2 0 0); 18.83°, rel. 561, (2 0 -2); 19.63°, rel. 1000, (1 1 -1); 23.70°, rel. 507, (1 1 1); 29.93°, rel. 485, (3 1 -1); 30.95°, rel. 478, (1 1 -3)

Structure:
```
data_Na3TaF8
_cell_length_a 11.142
_cell_length_b 5.155
_cell_length_c 10.682
_cell_angle_alpha 90.00
_cell_angle_beta 119.71
_cell_angle_gamma 90.00
_symmetry_space_group_name_H-M 'C 1 2/c 1'
_symmetry_Int_Tables_number 15
loop_
_symmetry_equiv_pos_as_xyz
'x,y,z'
'-x,-y,-z'
'-x,y,-z+1/2'
'x,-y,z+1/2'
'x+1/2,y+1/2,z'
'-x+1/2,-y+1/2,-z'
'-x+1/2,y+1/2,-z+1/2'
'x+1/2,-y+1/2,z+1/2'
loop_
_atom_site_label
_atom_site_fract_x
_atom_site_fract_y
_atom_site_fract_z
Na1 0.137 0.241 0.100
Na2 0.250 0.250 0.500
Ta1 0.000 0.322 0.750
F1 0.056 0.445 0.420
F2 0.064 0.129 0.633
F3 0.159 0.106 0.892
F4 0.173 0.477 0.287
```